For Sc2Mn12P7, a crystal structure in the Materials Project, relaxed with GGA-PBE gives the computed XRD peak list in this record (Cu Kα (weighted mean of Kα1 and Kα2)).

Structural model:
```
Sc2Mn12P7
1.0
9.3264 0.0000 0.0000
-4.6632 8.0769 0.0000
0.0000 0.0000 3.4292
Sc Mn P
2 12 7
Direct
0.0000 0.0000 0.0000
0.3333 0.6667 0.5000
0.0444 0.7652 0.5000
0.1013 0.3834 0.0000
0.2348 0.2792 0.5000
0.2822 0.8987 0.0000
0.4339 0.2319 0.0000
0.5078 0.0570 0.5000
0.5492 0.4922 0.5000
0.6166 0.7178 0.0000
0.7208 0.9556 0.5000
0.7681 0.2021 0.0000
0.7979 0.5661 0.0000
0.9430 0.4508 0.5000
0.0854 0.6246 0.0000
0.2493 0.0431 0.5000
0.3754 0.4608 0.0000
0.5392 0.9146 0.0000
0.6667 0.3333 0.5000
0.7937 0.7507 0.5000
0.9569 0.2063 0.5000
```

Largest 10 diffraction maxima, by angle, 2θ from 15° to 90°:
d = 4.663 Å, 2θ = 19.0°, I = 10, hkl 1 1 0
d = 2.280 Å, 2θ = 39.5°, I = 100, hkl 1 2 1
d = 2.118 Å, 2θ = 42.7°, I = 14, hkl 3 0 1
d = 2.019 Å, 2θ = 44.9°, I = 9, hkl 4 0 0
d = 1.875 Å, 2θ = 48.5°, I = 25, hkl 3 1 1
d = 1.853 Å, 2θ = 49.2°, I = 17, hkl 2 3 0
d = 1.763 Å, 2θ = 51.9°, I = 22, hkl 4 1 0
d = 1.715 Å, 2θ = 53.4°, I = 19, hkl 0 0 2
d = 1.258 Å, 2θ = 75.6°, I = 8, hkl 2 3 2
d = 1.229 Å, 2θ = 77.7°, I = 12, hkl 4 1 2

=====

For Mn12SiP3, a crystal structure in the Materials Project, relaxed with GGA-PBE gives the computed XRD peak list in this record (Cu Kα (weighted mean of Kα1 and Kα2)).

Structural model:
```
Mn12SiP3
1.0
4.4826 0.0000 0.0000
2.2184 6.3186 0.0000
2.2089 0.0132 6.3806
Mn Si P
12 1 3
Direct
0.0000 0.0000 0.0000
0.0255 0.2781 0.2239
0.1239 0.1415 0.5772
0.2881 0.7670 0.6291
0.3147 0.5732 0.2793
0.4440 0.9085 0.2127
0.5711 0.3480 0.5533
0.6221 0.3386 0.9278
0.6576 0.9808 0.7856
0.8606 0.9338 0.4202
0.9049 0.5686 0.6538
0.9608 0.6367 0.9929
0.1841 0.2912 0.8563
0.4485 0.7050 0.9415
0.5313 0.2086 0.2681
0.7654 0.6185 0.3528
```

Largest 10 diffraction maxima, by angle, 2θ from 15° to 90°:
d = 2.189 Å, 2θ = 41.2°, I = 69, hkl 1 1 -2
d = 2.180 Å, 2θ = 41.4°, I = 70, hkl 1 0 3
d = 2.173 Å, 2θ = 41.6°, I = 67, hkl 1 -2 0
d = 2.166 Å, 2θ = 41.7°, I = 69, hkl 1 3 1
d = 2.116 Å, 2θ = 42.7°, I = 70, hkl 2 1 0
d = 2.111 Å, 2θ = 42.8°, I = 79, hkl 2 1 2
d = 2.001 Å, 2θ = 45.3°, I = 57, hkl 0 3 1
d = 1.960 Å, 2θ = 46.3°, I = 84, hkl 1 2 3
d = 1.954 Å, 2θ = 46.5°, I = 100, hkl 1 3 -1
d = 1.755 Å, 2θ = 52.1°, I = 56, hkl 0 3 -2

=====

For Mn31Si11P, a crystal structure in the Materials Project, relaxed with GGA-PBE gives the computed XRD peak list in this record (Cu Kα (weighted mean of Kα1 and Kα2)).

Structural model:
```
Mn31Si11P
1.0
6.8459 0.0000 0.0000
-3.4229 5.9287 0.0000
0.0000 0.0000 12.3692
Mn Si P
31 11 1
Direct
0.0000 0.0000 0.0000
0.0000 0.0000 0.1760
0.0000 0.0000 0.5887
0.0204 0.3519 0.7833
0.0363 0.6840 0.4880
0.0386 0.7072 0.2853
0.0565 0.3959 0.9886
0.2928 0.3315 0.2853
0.3160 0.3523 0.4880
0.3314 0.9796 0.7833
0.3335 0.2941 0.8944
0.3333 0.6667 0.1633
0.3333 0.6667 0.6620
0.3394 0.9435 0.9886
0.3502 0.0264 0.3985
0.3536 0.3156 0.6919
0.3964 0.0535 0.1924
0.6041 0.6606 0.9886
0.6481 0.6686 0.7833
0.6477 0.9637 0.4880
0.6571 0.6036 0.1924
0.6667 0.3333 0.0144
0.6667 0.3333 0.5178
0.6685 0.9614 0.2853
0.6762 0.6498 0.3985
0.6844 0.0380 0.6919
0.7059 0.0394 0.8944
0.9465 0.3429 0.1924
0.9606 0.6665 0.8944
0.9620 0.6464 0.6919
0.9736 0.3238 0.3985
0.0000 0.0000 0.3812
0.0000 0.0000 0.7980
0.0015 0.3526 0.5901
0.3225 0.3186 0.0894
0.3333 0.6667 0.3676
0.3333 0.6667 0.8578
0.3511 0.9985 0.5901
0.6474 0.6489 0.5901
0.6667 0.3333 0.3219
0.6814 0.0039 0.0894
0.9961 0.6775 0.0894
0.6667 0.3333 0.8214
```

Largest 10 diffraction maxima, by angle, 2θ from 15° to 90°:
d = 2.205 Å, 2θ = 40.9°, I = 17, hkl 1 2 1
d = 2.140 Å, 2θ = 42.2°, I = 16, hkl 0 2 4
d = 2.005 Å, 2θ = 45.2°, I = 98, hkl 2 -1 5
d = 1.976 Å, 2θ = 45.9°, I = 100, hkl 3 0 0
d = 1.899 Å, 2θ = 47.9°, I = 7, hkl 2 0 5
d = 1.815 Å, 2θ = 50.3°, I = 8, hkl 2 1 4
d = 1.407 Å, 2θ = 66.4°, I = 19, hkl 2 2 5
d = 1.245 Å, 2θ = 76.5°, I = 8, hkl 5 -2 4
d = 1.146 Å, 2θ = 84.5°, I = 15, hkl 5 -4 5
d = 1.141 Å, 2θ = 85.0°, I = 10, hkl 3 3 0

=====

For Th2Mn12P7, a crystal structure in the Materials Project, relaxed with GGA-PBE gives the computed XRD peak list in this record (Cu Kα (weighted mean of Kα1 and Kα2)).

Structural model:
```
Th2Mn12P7
1.0
9.2983 0.0000 0.0000
-4.6492 8.0526 0.0000
0.0000 0.0000 3.7079
Th Mn P
2 12 7
Direct
0.0000 0.0000 0.0000
0.3333 0.6667 0.5000
0.0432 0.2831 0.5000
0.1025 0.7228 0.0000
0.2399 0.9568 0.5000
0.2772 0.3797 0.0000
0.4424 0.2151 0.0000
0.5139 0.4548 0.5000
0.5452 0.0592 0.5000
0.6203 0.8975 0.0000
0.7169 0.7601 0.5000
0.7727 0.5576 0.0000
0.7849 0.2273 0.0000
0.9408 0.4861 0.5000
0.0663 0.4501 0.0000
0.2630 0.2205 0.5000
0.3838 0.9337 0.0000
0.5499 0.6162 0.0000
0.6667 0.3333 0.5000
0.7795 0.0426 0.5000
0.9574 0.7370 0.5000
```

Largest 10 diffraction maxima, by angle, 2θ from 15° to 90°:
d = 4.649 Å, 2θ = 19.1°, I = 18, hkl 1 1 0
d = 3.368 Å, 2θ = 26.5°, I = 26, hkl 1 0 1
d = 3.044 Å, 2θ = 29.3°, I = 13, hkl 2 1 0
d = 2.727 Å, 2θ = 32.8°, I = 14, hkl 2 0 1
d = 2.684 Å, 2θ = 33.4°, I = 16, hkl 3 0 0
d = 2.353 Å, 2θ = 38.3°, I = 100, hkl 2 1 1
d = 2.325 Å, 2θ = 38.7°, I = 15, hkl 2 2 0
d = 1.854 Å, 2θ = 49.1°, I = 15, hkl 0 0 2
d = 1.757 Å, 2θ = 52.0°, I = 17, hkl 1 4 0
d = 1.654 Å, 2θ = 55.6°, I = 14, hkl 3 2 1

=====

For TiMnP, a crystal structure in the Materials Project, relaxed with GGA-PBE gives the computed XRD peak list in this record (Cu Kα (weighted mean of Kα1 and Kα2)).

Structural model:
```
TiMnP
1.0
6.1992 0.0000 0.0000
-3.0996 5.3687 0.0000
0.0000 0.0000 3.3800
Ti Mn P
3 3 3
Direct
0.0000 0.5893 0.0000
0.4107 0.4107 0.0000
0.5893 0.0000 0.0000
0.0000 0.2472 0.5000
0.2472 0.0000 0.5000
0.7528 0.7528 0.5000
0.0000 0.0000 0.0000
0.3333 0.6667 0.5000
0.6667 0.3333 0.5000
```

Largest 10 diffraction maxima, by angle, 2θ from 15° to 90°:
d = 2.284 Å, 2θ = 39.4°, I = 100, hkl 1 1 1
d = 2.102 Å, 2θ = 43.0°, I = 76, hkl 2 0 1
d = 2.029 Å, 2θ = 44.7°, I = 60, hkl 2 1 0
d = 1.790 Å, 2θ = 51.0°, I = 21, hkl 3 0 0
d = 1.740 Å, 2θ = 52.6°, I = 26, hkl 2 1 1
d = 1.690 Å, 2θ = 54.3°, I = 23, hkl 0 0 2
d = 1.363 Å, 2θ = 68.9°, I = 12, hkl 3 1 1
d = 1.299 Å, 2θ = 72.8°, I = 24, hkl 2 1 2
d = 1.229 Å, 2θ = 77.7°, I = 11, hkl 3 0 2
d = 1.157 Å, 2θ = 83.5°, I = 22, hkl 3 2 1

=====

For Tm2Mn12P7, a crystal structure in the Materials Project, relaxed with GGA-PBE gives the computed XRD peak list in this record (Cu Kα (weighted mean of Kα1 and Kα2)).

Structural model:
```
Tm2Mn12P7
1.0
9.2559 0.0000 0.0000
-4.6280 8.0159 0.0000
0.0000 0.0000 3.5814
Tm Mn P
2 12 7
Direct
0.0000 0.0000 0.0000
0.3333 0.6667 0.5000
0.0436 0.2844 0.5000
0.1033 0.7256 0.0000
0.2408 0.9564 0.5000
0.2744 0.3778 0.0000
0.4386 0.2082 0.0000
0.5097 0.4529 0.5000
0.5471 0.0567 0.5000
0.6222 0.8967 0.0000
0.7156 0.7592 0.5000
0.7696 0.5614 0.0000
0.7918 0.2304 0.0000
0.9433 0.4903 0.5000
0.0760 0.4615 0.0000
0.2546 0.2117 0.5000
0.3855 0.9240 0.0000
0.5385 0.6145 0.0000
0.6667 0.3333 0.5000
0.7883 0.0429 0.5000
0.9571 0.7454 0.5000
```

Largest 10 diffraction maxima, by angle, 2θ from 15° to 90°:
d = 3.270 Å, 2θ = 27.3°, I = 14, hkl 1 0 1
d = 2.671 Å, 2θ = 33.5°, I = 17, hkl 3 0 0
d = 2.313 Å, 2θ = 38.9°, I = 100, hkl 2 1 1
d = 1.889 Å, 2θ = 48.2°, I = 11, hkl 3 1 1
d = 1.791 Å, 2θ = 51.0°, I = 14, hkl 0 0 2
d = 1.749 Å, 2θ = 52.3°, I = 16, hkl 1 4 0
d = 1.636 Å, 2θ = 56.2°, I = 10, hkl 3 2 1
d = 1.395 Å, 2θ = 67.1°, I = 12, hkl 2 4 1
d = 1.251 Å, 2θ = 76.1°, I = 12, hkl 1 4 2
d = 1.111 Å, 2θ = 87.9°, I = 9, hkl 2 1 3

=====

For UMn4P2, a crystal structure in the Materials Project, relaxed with GGA-PBE gives the computed XRD peak list in this record (Cu Kα (weighted mean of Kα1 and Kα2)).

Structural model:
```
UMn4P2
1.0
7.0243 0.0000 0.0000
0.0000 7.0243 0.0000
0.0000 0.0000 3.6187
U Mn P
2 8 4
Direct
0.0000 0.0000 0.0000
0.5000 0.5000 0.5000
0.0828 0.3454 0.5000
0.1546 0.5828 0.0000
0.3454 0.0828 0.5000
0.4172 0.8454 0.0000
0.5828 0.1546 0.0000
0.6546 0.9172 0.5000
0.8454 0.4172 0.0000
0.9172 0.6546 0.5000
0.2179 0.7821 0.5000
0.2821 0.2821 0.0000
0.7179 0.7179 0.0000
0.7821 0.2179 0.5000
```

Largest 10 diffraction maxima, by angle, 2θ from 15° to 90°:
d = 4.967 Å, 2θ = 17.9°, I = 22, hkl 1 1 0
d = 3.512 Å, 2θ = 25.4°, I = 25, hkl 2 0 0
d = 3.217 Å, 2θ = 27.7°, I = 39, hkl 1 0 1
d = 2.483 Å, 2θ = 36.2°, I = 17, hkl 2 2 0
d = 2.372 Å, 2θ = 37.9°, I = 100, hkl 2 1 1
d = 2.221 Å, 2θ = 40.6°, I = 44, hkl 3 1 0
d = 1.809 Å, 2θ = 50.4°, I = 15, hkl 0 0 2
d = 1.541 Å, 2θ = 60.0°, I = 19, hkl 4 1 1
d = 1.403 Å, 2θ = 66.7°, I = 20, hkl 3 1 2
d = 1.310 Å, 2θ = 72.1°, I = 22, hkl 4 3 1

=====

For U2Mn12P7, a crystal structure in the Materials Project, relaxed with GGA-PBE gives the computed XRD peak list in this record (Cu Kα (weighted mean of Kα1 and Kα2)).

Structural model:
```
U2Mn12P7
1.0
9.2575 0.0000 0.0000
-4.6288 8.0173 0.0000
0.0000 0.0000 3.5777
U Mn P
2 12 7
Direct
0.0000 0.0000 0.0000
0.3333 0.6667 0.5000
0.0528 0.7739 0.5000
0.0992 0.3928 0.0000
0.2261 0.2789 0.5000
0.2937 0.9008 0.0000
0.3902 0.2102 0.0000
0.5438 0.1027 0.5000
0.5590 0.4562 0.5000
0.6072 0.7063 0.0000
0.7211 0.9472 0.5000
0.7898 0.1800 0.0000
0.8200 0.6098 0.0000
0.8973 0.4410 0.5000
0.0736 0.6272 0.0000
0.2621 0.0476 0.5000
0.3728 0.4464 0.0000
0.5536 0.9264 0.0000
0.6667 0.3333 0.0000
0.7855 0.7379 0.5000
0.9524 0.2145 0.5000
```

Largest 10 diffraction maxima, by angle, 2θ from 15° to 90°:
d = 4.629 Å, 2θ = 19.2°, I = 17, hkl 1 1 0
d = 3.267 Å, 2θ = 27.3°, I = 20, hkl 1 0 1
d = 3.030 Å, 2θ = 29.5°, I = 11, hkl 1 2 0
d = 2.671 Å, 2θ = 33.6°, I = 24, hkl 3 0 0
d = 2.313 Å, 2θ = 38.9°, I = 100, hkl 1 2 1
d = 1.789 Å, 2θ = 51.1°, I = 11, hkl 0 0 2
d = 1.749 Å, 2θ = 52.3°, I = 17, hkl 4 1 0
d = 1.636 Å, 2θ = 56.2°, I = 13, hkl 2 3 1
d = 1.395 Å, 2θ = 67.1°, I = 13, hkl 2 4 1
d = 1.251 Å, 2θ = 76.1°, I = 12, hkl 4 1 2

=====

For UMn5P3, a crystal structure in the Materials Project, relaxed with GGA-PBE gives the computed XRD peak list in this record (Cu Kα (weighted mean of Kα1 and Kα2)).

Structural model:
```
UMn5P3
1.0
11.9251 0.0000 0.0000
0.0000 3.6325 0.0000
0.0000 0.0000 10.6311
U Mn P
4 20 12
Direct
0.2030 0.2500 0.0825
0.2970 0.7500 0.5825
0.7030 0.2500 0.4175
0.7970 0.7500 0.9175
0.0103 0.7500 0.7048
0.0148 0.7500 0.0947
0.0673 0.7500 0.4660
0.1736 0.2500 0.7823
0.2019 0.2500 0.3824
0.2981 0.7500 0.8824
0.3264 0.7500 0.2823
0.4327 0.2500 0.9660
0.4852 0.2500 0.5947
0.4897 0.2500 0.2048
0.5103 0.7500 0.7952
0.5148 0.7500 0.4053
0.5673 0.7500 0.0340
0.6736 0.2500 0.7177
0.7019 0.2500 0.1176
0.7981 0.7500 0.6176
0.8264 0.7500 0.2177
0.9327 0.2500 0.5340
0.9852 0.2500 0.9053
0.9897 0.2500 0.2952
0.1060 0.7500 0.9027
0.1144 0.2500 0.5821
0.1308 0.7500 0.2691
0.3692 0.2500 0.7691
0.3856 0.7500 0.0821
0.3940 0.2500 0.4027
0.6060 0.7500 0.5973
0.6144 0.2500 0.9179
0.6308 0.7500 0.2309
0.8692 0.2500 0.7309
0.8856 0.7500 0.4179
0.8940 0.2500 0.0973
```

Largest 10 diffraction maxima, by angle, 2θ from 15° to 90°:
d = 4.855 Å, 2θ = 18.3°, I = 24, hkl 1 0 2
d = 3.303 Å, 2θ = 27.0°, I = 41, hkl 1 1 1
d = 2.596 Å, 2θ = 34.6°, I = 35, hkl 1 0 4
d = 2.537 Å, 2θ = 35.4°, I = 23, hkl 0 1 3
d = 2.394 Å, 2θ = 37.6°, I = 30, hkl 3 1 2
d = 2.334 Å, 2θ = 38.6°, I = 100, hkl 2 1 3
d = 2.304 Å, 2θ = 39.1°, I = 60, hkl 4 1 0
d = 2.281 Å, 2θ = 39.5°, I = 22, hkl 4 0 3
d = 1.816 Å, 2θ = 50.2°, I = 31, hkl 0 2 0
d = 1.733 Å, 2θ = 52.8°, I = 26, hkl 6 0 3

=====

For Mn3VP4, a crystal structure in the Materials Project, relaxed with GGA-PBE gives the computed XRD peak list in this record (Cu Kα (weighted mean of Kα1 and Kα2)).

Structural model:
```
Mn3VP4
1.0
5.3087 0.0000 0.0000
0.0000 3.1415 0.0000
-0.0223 0.0000 5.9470
Mn V P
3 1 4
Direct
0.0000 0.0000 0.0000
0.0091 0.5000 0.6090
0.4997 0.0000 0.1092
0.5126 0.5000 0.4964
0.1915 0.5000 0.2306
0.3108 0.0000 0.7401
0.6953 0.5000 0.8749
0.8227 0.0000 0.3669
```

Largest 10 diffraction maxima, by angle, 2θ from 15° to 90°:
d = 2.778 Å, 2θ = 32.2°, I = 65, hkl 0 1 1
d = 2.654 Å, 2θ = 33.8°, I = 20, hkl 2 0 0
d = 2.461 Å, 2θ = 36.5°, I = 39, hkl 1 1 1
d = 2.000 Å, 2θ = 45.3°, I = 60, hkl 1 1 2
d = 1.984 Å, 2θ = 45.7°, I = 25, hkl 2 0 -2
d = 1.976 Å, 2θ = 45.9°, I = 24, hkl 2 0 2
d = 1.919 Å, 2θ = 47.4°, I = 100, hkl 2 1 1
d = 1.859 Å, 2θ = 49.0°, I = 16, hkl 1 0 -3
d = 1.677 Å, 2θ = 54.8°, I = 29, hkl 0 1 3
d = 1.571 Å, 2θ = 58.8°, I = 25, hkl 0 2 0

=====

For ZrMnP, a crystal structure in the Materials Project, relaxed with GGA-PBE gives the computed XRD peak list in this record (Cu Kα (weighted mean of Kα1 and Kα2)).

Structural model:
```
ZrMnP
1.0
6.4534 0.0000 0.0000
0.0000 3.6405 0.0000
0.0000 0.0000 7.5344
Zr Mn P
4 4 4
Direct
0.0308 0.2500 0.1756
0.4692 0.7500 0.6756
0.5308 0.2500 0.3244
0.9692 0.7500 0.8244
0.1351 0.2500 0.5595
0.3649 0.7500 0.0595
0.6351 0.2500 0.9405
0.8649 0.7500 0.4405
0.2316 0.7500 0.3732
0.2684 0.2500 0.8732
0.7316 0.7500 0.1268
0.7684 0.2500 0.6268
```

Largest 10 diffraction maxima, by angle, 2θ from 15° to 90°:
d = 3.278 Å, 2θ = 27.2°, I = 18, hkl 0 1 1
d = 2.426 Å, 2θ = 37.1°, I = 100, hkl 1 1 2
d = 2.415 Å, 2θ = 37.2°, I = 33, hkl 2 1 0
d = 2.340 Å, 2θ = 38.5°, I = 46, hkl 1 0 3
d = 2.300 Å, 2θ = 39.2°, I = 83, hkl 2 1 1
d = 2.068 Å, 2θ = 43.8°, I = 43, hkl 0 1 3
d = 1.868 Å, 2θ = 48.7°, I = 17, hkl 3 0 2
d = 1.820 Å, 2θ = 50.1°, I = 31, hkl 0 2 0
d = 1.437 Å, 2θ = 64.9°, I = 19, hkl 1 2 3
d = 1.321 Å, 2θ = 71.4°, I = 18, hkl 3 1 4